Ce12HgGe6: computed XRD peak list (Cu Ka), based on a structure optimized by DFT (GGA-PBE).
Kinematic intensities with the Lorentz-polarization factor, no thermal factor.

Largest 10 diffraction maxima, low angle first, 5° ≤ 2θ ≤ 70°:
22.8 deg, rel. 28; 24.6 deg, rel. 45; 33.1 deg, rel. 100; 33.8 deg, rel. 31; 34.5 deg, rel. 38; 35.4 deg, rel. 82; 37.1 deg, rel. 36; 37.3 deg, rel. 39; 37.9 deg, rel. 19; 47.0 deg, rel. 28

Cell and atoms:
```
data_Ce12HgGe6
_chemical_formula_sum 'Ce12 Hg1 Ge6'
_space_group_name_H-M_alt 'P 1'
_space_group_IT_number 1
_cell_length_a 7.8604
_cell_length_b 7.8604
_cell_length_c 7.8604
_cell_angle_alpha 94.53
_cell_angle_beta 94.53
_cell_angle_gamma 94.53
loop_
_space_group_symop_operation_xyz
'x,y,z'
loop_
_atom_site_label
_atom_site_type_symbol
_atom_site_fract_x
_atom_site_fract_y
_atom_site_fract_z
Ce1 Ce 0.0505 0.9483 0.3392
Ce2 Ce 0.0517 0.6608 0.9495
Ce3 Ce 0.1199 0.4729 0.3794
Ce4 Ce 0.3392 0.0505 0.9483
Ce5 Ce 0.3794 0.1199 0.4729
Ce6 Ce 0.4729 0.3794 0.1199
Ce7 Ce 0.5271 0.6206 0.8801
Ce8 Ce 0.6206 0.8801 0.5271
Ce9 Ce 0.6608 0.9495 0.0517
Ce10 Ce 0.8801 0.5271 0.6206
Ce11 Ce 0.9483 0.3392 0.0505
Ce12 Ce 0.9495 0.0517 0.6608
Hg1 Hg 0.5000 0.5000 0.5000
Ge1 Ge 0.2061 0.3512 0.7680
Ge2 Ge 0.2320 0.7939 0.6488
Ge3 Ge 0.3512 0.7680 0.2061
Ge4 Ge 0.6488 0.2320 0.7939
Ge5 Ge 0.7680 0.2061 0.3512
Ge6 Ge 0.7939 0.6488 0.2320
```